This entry pairs a crystal structure of H2PdF with its simulated XRD peak list. Radiation: Cu Kα X-rays. Structure: the PBE geometry in Alexandria.
Kinematic intensities with the Lorentz-polarization factor, no thermal factor.

Structural model:
Cell lengths 3.210, 3.210, 4.222 Å; angles 90.00, 90.00, 120.00 degrees
Fractional coordinates of all 4 atoms:
H 0.333 0.667 0.000
H 0.667 0.333 0.000
Pd 0.000 0.000 0.000
F 0.000 0.000 0.500

The 10 most intense peaks (15 to 90 degrees two-theta), by intensity:
2θ = 32.20°, intensity 100; 2θ = 38.78°, intensity 57; 2θ = 21.04°, intensity 51; 2θ = 54.59°, intensity 42; 2θ = 57.41°, intensity 19; 2θ = 74.23°, intensity 16; 2θ = 61.84°, intensity 16; 2θ = 42.84°, intensity 16; 2θ = 83.22°, intensity 12; 2θ = 67.37°, intensity 11

This entry pairs a crystal structure of CaTePd3 with its simulated XRD peak list. Radiation: Cu Kα X-rays. Structure: the PBE geometry in Alexandria.
Kinematic intensities with the Lorentz-polarization factor, no thermal factor.

Structural model:
Cell lengths 5.222, 5.872, 6.608 Å; angles 90.00, 96.83, 90.00 degrees
Fractional coordinates of all 10 atoms:
Ca 0.159 0.250 0.172
Ca 0.841 0.750 0.828
Te 0.137 0.750 0.353
Te 0.863 0.250 0.647
Pd 0.332 0.005 0.666
Pd 0.332 0.495 0.666
Pd 0.376 0.750 0.025
Pd 0.624 0.250 0.975
Pd 0.668 0.505 0.334
Pd 0.668 0.995 0.334

The 10 most intense peaks (15 to 90 degrees two-theta), by intensity:
2θ = 38.56°, intensity 100; 2θ = 43.61°, intensity 46; 2θ = 41.28°, intensity 40; 2θ = 35.69°, intensity 35; 2θ = 22.88°, intensity 32; 2θ = 34.16°, intensity 25; 2θ = 33.43°, intensity 19; 2θ = 38.95°, intensity 19; 2θ = 20.29°, intensity 18; 2θ = 47.20°, intensity 17